(1)
For Tb4PrSc3, a cell relaxed with GGA-PBE gives the computed powder X-ray diffraction pattern in this record (Cu Kα, 1.54184 Å).
No peak broadening, texture or thermal motion is included.

```
data_Tb4PrSc3
_cell_length_a 11.024
_cell_length_b 7.088
_cell_length_c 6.096
_cell_angle_alpha 90.00
_cell_angle_beta 90.00
_cell_angle_gamma 90.00
_space_group_name_H-M_alt 'P 1'
_space_group_IT_number 1
loop_
_space_group_symop_operation_xyz
'x,y,z'
loop_
_atom_site_label
_atom_site_fract_x
_atom_site_fract_y
_atom_site_fract_z
_atom_site_occupancy
Tb1 0.000 0.131 0.000 1
Tb2 0.000 0.867 0.493 1
Tb3 0.245 0.869 0.840 1
Tb4 0.255 0.131 0.340 1
Tb5 0.500 0.133 0.993 1
Tb6 0.500 0.869 0.500 1
Tb7 0.745 0.131 0.340 1
Tb8 0.755 0.869 0.840 1
Pr1 0.000 0.383 0.504 1
Pr2 0.500 0.617 0.004 1
Sc1 0.000 0.622 0.005 1
Sc2 0.249 0.381 0.832 1
Sc3 0.251 0.619 0.332 1
Sc4 0.500 0.378 0.505 1
Sc5 0.749 0.619 0.332 1
Sc6 0.751 0.381 0.832 1
```

Most intense lines, 2θ from 10° to 80°, low angle first:
- d 7.088, intensity 19
- d 3.542, intensity 20
- d 3.064, intensity 23
- d 2.756, intensity 35
- d 2.678, intensity 100
- d 2.667, intensity 47
- d 1.575, intensity 29
- d 1.485, intensity 21

=====

(2)
For TbPr3Sc, a cell relaxed with GGA-PBE gives the computed powder X-ray diffraction pattern in this record (Cu Kα, 1.54184 Å).
No peak broadening, texture or thermal motion is included.

```
data_TbPr3Sc
_cell_length_a 10.127
_cell_length_b 10.127
_cell_length_c 10.127
_cell_angle_alpha 146.42
_cell_angle_beta 51.22
_cell_angle_gamma 142.49
_space_group_name_H-M_alt 'P 1'
_space_group_IT_number 1
loop_
_space_group_symop_operation_xyz
'x,y,z'
loop_
_atom_site_label
_atom_site_fract_x
_atom_site_fract_y
_atom_site_fract_z
_atom_site_occupancy
Tb1 0.416 0.166 0.250 1
Tb2 0.584 0.834 0.750 1
Pr1 0.076 0.986 0.091 1
Pr2 0.118 0.368 0.750 1
Pr3 0.395 0.986 0.409 1
Pr4 0.605 0.014 0.591 1
Pr5 0.882 0.632 0.250 1
Pr6 0.924 0.014 0.909 1
Sc1 0.000 0.500 0.500 1
Sc2 0.500 0.500 0.000 1
```

Most intense lines, 2θ from 10° to 80°, low angle first:
- d 4.352, intensity 66
- d 3.150, intensity 75
- d 3.044, intensity 78
- d 2.925, intensity 100
- d 2.811, intensity 57
- d 2.577, intensity 78
- d 2.494, intensity 59
- d 2.109, intensity 56

=====

(3)
For Tb12Pr2Sc, a cell relaxed with GGA-PBE gives the computed powder X-ray diffraction pattern in this record (Cu Kα, 1.54184 Å).
No peak broadening, texture or thermal motion is included.

```
data_Tb12Pr2Sc
_cell_length_a 6.685
_cell_length_b 6.685
_cell_length_c 24.594
_cell_angle_alpha 94.20
_cell_angle_beta 94.20
_cell_angle_gamma 116.38
_space_group_name_H-M_alt 'P 1'
_space_group_IT_number 1
loop_
_space_group_symop_operation_xyz
'x,y,z'
loop_
_atom_site_label
_atom_site_fract_x
_atom_site_fract_y
_atom_site_fract_z
_atom_site_occupancy
Tb1 0.036 0.494 0.304 1
Tb2 0.039 0.542 0.829 1
Tb3 0.146 0.657 0.056 1
Tb4 0.162 0.693 0.566 1
Tb5 0.164 0.164 0.069 1
Tb6 0.190 0.190 0.643 1
Tb7 0.307 0.838 0.434 1
Tb8 0.340 0.340 0.387 1
Tb9 0.342 0.342 0.922 1
Tb10 0.343 0.854 0.944 1
Tb11 0.458 0.961 0.171 1
Tb12 0.494 0.036 0.304 1
Tb13 0.506 0.964 0.696 1
Tb14 0.542 0.039 0.829 1
Tb15 0.657 0.146 0.056 1
Tb16 0.658 0.658 0.078 1
Tb17 0.660 0.660 0.613 1
Tb18 0.693 0.162 0.566 1
Tb19 0.810 0.810 0.357 1
Tb20 0.836 0.836 0.931 1
Tb21 0.838 0.307 0.434 1
Tb22 0.854 0.343 0.944 1
Tb23 0.961 0.458 0.171 1
Tb24 0.964 0.506 0.696 1
Pr1 0.014 0.014 0.775 1
Pr2 0.484 0.484 0.228 1
Pr3 0.516 0.516 0.772 1
Pr4 0.986 0.986 0.225 1
Sc1 0.246 0.246 0.514 1
Sc2 0.754 0.754 0.486 1
```

Most intense lines, 2θ from 10° to 80°, low angle first:
- d 3.044, intensity 31
- d 2.968, intensity 63
- d 2.849, intensity 32
- d 2.840, intensity 88
- d 2.813, intensity 100
- d 2.806, intensity 69
- d 2.684, intensity 53
- d 2.010, intensity 31